Record 1
The following is a computed powder X-ray diffraction pattern of RbSb2O4. It was derived from DFT lattice parameters and positions (PBE), using Cu Ka.
Intensities are scaled so that the largest is 100.

Principal peaks in the range 2θ = 10–90°, by angle:
| 2theta | intensity | h k l |
| --- | --- | --- |
| 15.2 | 36 | 1 0 1 |
| 24.4 | 19 | 1 1 2 |
| 27.2 | 51 | 1 0 3 |
| 30.5 | 100 | 2 1 1 |
| 30.8 | 75 | 2 0 2 |
| 42.4 | 17 | 1 0 5 |
| 46.9 | 18 | 3 0 3 |
| 49.0 | 18 | 3 2 1 |
| 50.0 | 44 | 2 2 4 |
| 63.4 | 19 | 4 2 2 |

Structure:
```
data_RbSb2O4
_cell_length_a 6.7938
_cell_length_b 6.7938
_cell_length_c 11.2212
_cell_angle_alpha 90.00
_cell_angle_beta 90.00
_cell_angle_gamma 90.00
_space_group_name_H-M_alt 'I 41/a'
_space_group_IT_number 88
loop_
_space_group_symop_operation_xyz
'x,y,z'
'-x,-y,-z'
'-y+3/4,x+1/4,z+1/4'
'y+3/4,-x+1/4,-z+1/4'
'-x+1/2,-y,z+1/2'
'x+1/2,y,-z+1/2'
'y+3/4,-x+3/4,z+3/4'
'-y+3/4,x+3/4,-z+3/4'
'x+1/2,y+1/2,z+1/2'
'-x+1/2,-y+1/2,-z+1/2'
'-y+1/4,x+3/4,z+3/4'
'y+1/4,-x+3/4,-z+3/4'
'-x,-y+1/2,z'
'x,y+1/2,-z'
'y+1/4,-x+1/4,z+1/4'
'-y+1/4,x+1/4,-z+1/4'
loop_
_atom_site_label
_atom_site_type_symbol
_atom_site_fract_x
_atom_site_fract_y
_atom_site_fract_z
Rb1 Rb 0.0000 0.2500 0.1250
Sb1 Sb 0.0000 0.0000 0.5000
O1 O 0.1858 0.4879 0.6437
```

***

Record 2
The following is a computed powder X-ray diffraction pattern of Rb3SbO4. It was derived from DFT lattice parameters and positions (PBE), using Cu Ka.
Intensities are scaled so that the largest is 100.

Principal peaks in the range 2θ = 10–90°, by angle:
| 2theta | intensity | h k l |
| --- | --- | --- |
| 16.2 | 13 | 0 1 1 |
| 25.8 | 26 | 0 0 2 |
| 27.0 | 29 | 2 0 0 |
| 27.3 | 100 | 1 2 1 |
| 37.7 | 25 | 2 0 2 |
| 40.4 | 11 | 0 4 0 |
| 46.4 | 23 | 1 2 3 |
| 47.9 | 21 | 3 2 1 |
| 49.3 | 11 | 2 4 0 |
| 56.4 | 13 | 2 4 2 |

Structure:
```
data_Rb3SbO4
_cell_length_a 6.6071
_cell_length_b 8.9322
_cell_length_c 6.9172
_cell_angle_alpha 90.00
_cell_angle_beta 90.00
_cell_angle_gamma 90.00
_space_group_name_H-M_alt 'I m m 2'
_space_group_IT_number 44
loop_
_space_group_symop_operation_xyz
'x,y,z'
'-x,-y,z'
'-x,y,z'
'x,-y,z'
'x+1/2,y+1/2,z+1/2'
'-x+1/2,-y+1/2,z+1/2'
'-x+1/2,y+1/2,z+1/2'
'x+1/2,-y+1/2,z+1/2'
loop_
_atom_site_label
_atom_site_type_symbol
_atom_site_fract_x
_atom_site_fract_y
_atom_site_fract_z
Rb1 Rb 0.0000 0.0000 0.0000
Rb2 Rb 0.0000 0.2333 0.5330
Sb1 Sb 0.0000 0.5000 0.0581
O1 O 0.0000 0.3211 0.9062
O2 O 0.2369 0.5000 0.2159
```

***

Record 3
The following is a computed powder X-ray diffraction pattern of Rb4Sb2O5. It was derived from DFT lattice parameters and positions (PBE), using Cu Ka.
Intensities are scaled so that the largest is 100.

Principal peaks in the range 2θ = 10–90°, by angle:
| 2theta | intensity | h k l |
| --- | --- | --- |
| 26.6 | 29 | 2 0 0 |
| 27.0 | 24 | 0 0 6 |
| 29.2 | 100 | 1 1 3 |
| 38.2 | 28 | 2 0 6 |
| 45.2 | 10 | 0 2 0 |
| 48.6 | 23 | 3 1 3 |
| 49.1 | 19 | 1 1 9 |
| 60.6 | 14 | 2 2 6 |
| 63.7 | 9 | 3 1 9 |
| 73.6 | 11 | 4 2 0 |

Structure:
```
data_Rb4Sb2O5
_cell_length_a 6.7104
_cell_length_b 4.0157
_cell_length_c 19.8169
_cell_angle_alpha 90.00
_cell_angle_beta 90.00
_cell_angle_gamma 90.00
_space_group_name_H-M_alt 'A m m 2'
_space_group_IT_number 38
loop_
_space_group_symop_operation_xyz
'x,y,z'
'-x,-y,z'
'-x,y,z'
'x,-y,z'
'x,y+1/2,z+1/2'
'-x,-y+1/2,z+1/2'
'-x,y+1/2,z+1/2'
'x,-y+1/2,z+1/2'
loop_
_atom_site_label
_atom_site_type_symbol
_atom_site_fract_x
_atom_site_fract_y
_atom_site_fract_z
Rb1 Rb 0.0000 0.0000 0.0000
Rb2 Rb 0.0000 0.0000 0.3289
Rb3 Rb 0.5000 0.0000 0.1447
Rb4 Rb 0.5000 0.0000 0.4770
Sb1 Sb 0.0000 0.0000 0.6476
Sb2 Sb 0.5000 0.0000 0.8260
O1 O 0.0000 0.0000 0.1826
O2 O 0.2226 0.0000 0.5847
O3 O 0.2782 0.0000 0.8891
```

***

Record 4
The following is a computed powder X-ray diffraction pattern of Rb8Sb3O8. It was derived from DFT lattice parameters and positions (PBE), using Cu Ka.
Intensities are scaled so that the largest is 100.

Principal peaks in the range 2θ = 10–90°, by angle:
| 2theta | intensity | h k l |
| --- | --- | --- |
| 18.6 | 51 | 1 1 -1 |
| 25.2 | 44 | 1 2 -1 |
| 25.3 | 80 | -1 2 1 |
| 25.5 | 85 | 1 -1 2 |
| 27.1 | 43 | 1 1 -3 |
| 28.1 | 34 | 1 0 -3 |
| 28.2 | 55 | 1 2 0 |
| 28.5 | 33 | 0 0 3 |
| 30.3 | 100 | 2 0 -1 |
| 31.5 | 34 | 0 3 -3 |

Structure:
```
data_Rb8Sb3O8
_cell_length_a 5.9576
_cell_length_b 10.0450
_cell_length_c 10.6124
_cell_angle_alpha 111.77
_cell_angle_beta 102.77
_cell_angle_gamma 98.25
_space_group_name_H-M_alt 'P -1'
_space_group_IT_number 2
loop_
_space_group_symop_operation_xyz
'x,y,z'
'-x,-y,-z'
loop_
_atom_site_label
_atom_site_type_symbol
_atom_site_fract_x
_atom_site_fract_y
_atom_site_fract_z
Rb1 Rb 0.0063 0.2113 0.0495
Rb2 Rb 0.1594 0.8262 0.3874
Rb3 Rb 0.2766 0.5516 0.6584
Rb4 Rb 0.3625 0.0463 0.7731
Sb1 Sb 0.2578 0.1975 0.3910
Sb2 Sb 0.5000 0.5000 0.0000
O1 O 0.0348 0.7353 0.6033
O2 O 0.1366 0.0075 0.2193
O3 O 0.3051 0.1369 0.5485
O4 O 0.4894 0.6831 0.9599
```

***

Record 5
The following is a computed powder X-ray diffraction pattern of RbSnSbO6. It was derived from DFT lattice parameters and positions (PBE), using Cu Ka.
Intensities are scaled so that the largest is 100.

Principal peaks in the range 2θ = 10–90°, by angle:
| 2theta | intensity | h k l |
| --- | --- | --- |
| 14.7 | 100 | 0 0 1 |
| 23.2 | 91 | 1 1 -1 |
| 23.4 | 66 | 0 2 1 |
| 23.5 | 86 | 1 1 1 |
| 29.7 | 32 | 0 0 2 |
| 31.4 | 33 | 2 0 0 |
| 31.5 | 63 | 1 3 0 |
| 39.7 | 34 | 0 4 1 |
| 44.1 | 51 | 1 3 2 |
| 51.6 | 30 | 2 4 1 |

Structure:
```
data_RbSnSbO6
_cell_length_a 5.6966
_cell_length_b 9.8146
_cell_length_c 6.0121
_cell_angle_alpha 90.00
_cell_angle_beta 91.00
_cell_angle_gamma 90.00
_space_group_name_H-M_alt 'C 1 2 1'
_space_group_IT_number 5
loop_
_space_group_symop_operation_xyz
'x,y,z'
'-x,y,-z'
'x+1/2,y+1/2,z'
'-x+1/2,y+1/2,-z'
loop_
_atom_site_label
_atom_site_type_symbol
_atom_site_fract_x
_atom_site_fract_y
_atom_site_fract_z
Rb1 Rb 0.0000 0.0000 0.0000
Sn1 Sn 0.0000 0.3436 0.5000
Sb1 Sb 0.0000 0.6558 0.5000
O1 O 0.0952 0.5048 0.7016
O2 O 0.1944 0.7942 0.6720
O3 O 0.2094 0.2002 0.6733
```